The following is a theoretical powder X-ray diffraction pattern of Tb6Ni2Hg. It was derived from a structure optimized by DFT (PBE), using CuKα.
Lines closer than 0.1° are merged.

```
data_Tb6Ni2Hg
_symmetry_space_group_name_H-M 'I m m m'
_symmetry_Int_Tables_number 71
_symmetry_space_group_name_Hall '-I 2 2'
_cell_length_a 9.3033
_cell_length_b 9.7505
_cell_length_c 10.0904
_cell_angle_alpha 90.00
_cell_angle_beta 90.00
_cell_angle_gamma 90.00
loop_
_atom_site_label
_atom_site_fract_x
_atom_site_fract_y
_atom_site_fract_z
_atom_site_occupancy
Tb1 0.0000 0.1993 0.2332 1
Tb2 0.1925 0.5000 0.1748 1
Tb3 0.2082 0.3181 0.5000 1
Ni1 0.0000 0.3560 0.0000 1
Ni2 0.0000 0.5000 0.3771 1
Hg1 0.0000 0.0000 0.0000 1
Hg2 0.0000 0.0000 0.5000 1
```

The 10 most intense peaks (10° ≤ 2θ ≤ 80°), sorted by position:
hkl, d_spacing, Position (°2θ), I_rel
0 3 1, 3.094, 28.86, 15.4
3 1 0, 2.956, 30.24, 34.7
2 2 2, 2.800, 31.97, 100.0
1 3 2, 2.623, 34.19, 95.1
2 3 1, 2.576, 34.83, 28.4
3 2 1, 2.533, 35.44, 17.6
0 0 4, 2.523, 35.59, 16.5
4 0 0, 2.326, 38.72, 18.8
3 5 0, 1.651, 55.68, 16.1
5 3 2, 1.538, 60.17, 28.1


The following is a theoretical powder X-ray diffraction pattern of HfSc5Cu6. It was derived from a structure optimized by DFT (PBE), using CuKα.
Lines closer than 0.1° are merged.

```
data_HfSc5Cu6
_symmetry_space_group_name_H-M 'C m m m'
_symmetry_Int_Tables_number 65
_symmetry_space_group_name_Hall '-C 2 2'
_cell_length_a 4.6243
_cell_length_b 13.8367
_cell_length_c 6.4737
_cell_angle_alpha 90.00
_cell_angle_beta 90.00
_cell_angle_gamma 90.00
loop_
_atom_site_label
_atom_site_fract_x
_atom_site_fract_y
_atom_site_fract_z
_atom_site_occupancy
Hf1 0.0000 0.0000 0.0000 1
Sc1 0.0000 0.0000 0.5000 1
Sc2 0.0000 0.3317 0.0000 1
Sc3 0.0000 0.3330 0.5000 1
Cu1 0.0000 0.1636 0.2470 1
Cu2 0.0000 0.5000 0.2360 1
```

The 10 most intense peaks (10° ≤ 2θ ≤ 80°), sorted by position:
hkl, d_spacing, Position (°2θ), I_rel
0 2 0, 6.918, 12.80, 10.3
0 0 1, 6.474, 13.68, 10.4
0 2 1, 4.727, 18.77, 9.1
2 0 0, 2.312, 38.95, 25.6
0 6 0, 2.306, 39.06, 25.3
1 3 2, 2.299, 39.19, 100.0
2 6 0, 1.633, 56.35, 16.3
3 3 2, 1.332, 70.71, 15.7
1 9 2, 1.330, 70.85, 15.5
2 0 4, 1.325, 71.14, 15.1


The following is a theoretical powder X-ray diffraction pattern of YMg2Cd9. It was derived from a structure optimized by DFT (PBE), using CuKα.
Lines closer than 0.1° are merged.

```
data_YMg2Cd9
_symmetry_space_group_name_H-M 'I 41/a m d'
_symmetry_Int_Tables_number 141
_cell_length_a 11.8733
_cell_length_b 11.8733
_cell_length_c 7.7318
_cell_angle_alpha 90.00
_cell_angle_beta 90.00
_cell_angle_gamma 90.00
loop_
_symmetry_equiv_pos_as_xyz
'x,y,z'
'-x,-y,-z'
'-y+1/4,x+3/4,z+1/4'
'y+1/4,-x+3/4,-z+1/4'
'-x+1/2,-y,z+1/2'
'x+1/2,y,-z+1/2'
'y+1/4,-x+1/4,z+3/4'
'-y+1/4,x+1/4,-z+3/4'
'x,-y,-z'
'-x,y,z'
'-y+1/4,-x+1/4,-z+3/4'
'y+1/4,x+1/4,z+3/4'
'-x+1/2,y,-z+1/2'
'x+1/2,-y,z+1/2'
'y+1/4,x+3/4,-z+1/4'
'-y+1/4,-x+3/4,z+1/4'
'x+1/2,y+1/2,z+1/2'
'-x+1/2,-y+1/2,-z+1/2'
'-y+3/4,x+1/4,z+3/4'
'y+3/4,-x+1/4,-z+3/4'
'-x,-y+1/2,z'
'x,y+1/2,-z'
'y+3/4,-x+3/4,z+1/4'
'-y+3/4,x+3/4,-z+1/4'
'x+1/2,-y+1/2,-z+1/2'
'-x+1/2,y+1/2,z+1/2'
'-y+3/4,-x+3/4,-z+1/4'
'y+3/4,x+3/4,z+1/4'
'-x,y+1/2,-z'
'x,-y+1/2,z'
'y+3/4,x+1/4,-z+3/4'
'-y+3/4,-x+1/4,z+3/4'
loop_
_atom_site_label
_atom_site_fract_x
_atom_site_fract_y
_atom_site_fract_z
_atom_site_occupancy
Y1 0.0000 0.2500 0.3750 1
Mg1 0.0000 0.0000 0.0000 1
Cd1 0.0000 0.2500 0.8750 1
Cd2 0.1204 0.0486 0.6715 1
```

The 10 most intense peaks (10° ≤ 2θ ≤ 80°), sorted by position:
hkl, d_spacing, Position (°2θ), I_rel
2 1 1, 4.377, 20.29, 20.7
3 1 2, 2.694, 33.26, 100.0
4 2 0, 2.655, 33.76, 62.1
1 0 3, 2.519, 35.65, 19.3
4 0 2, 2.354, 38.23, 14.5
2 1 3, 2.319, 38.84, 24.0
5 0 1, 2.270, 39.71, 86.0
5 4 1, 1.803, 50.64, 14.5
5 5 2, 1.540, 60.07, 30.6
5 3 4, 1.402, 66.72, 13.4


The following is a theoretical powder X-ray diffraction pattern of Na2LiCu2F6. It was derived from a structure optimized by DFT (PBE), using CuKα.
Lines closer than 0.1° are merged.

```
data_Na2LiCu2F6
_symmetry_space_group_name_H-M 'C 1 2/m 1'
_symmetry_Int_Tables_number 12
_cell_length_a 9.6955
_cell_length_b 5.7724
_cell_length_c 5.6850
_cell_angle_alpha 90.00
_cell_angle_beta 115.83
_cell_angle_gamma 90.00
loop_
_symmetry_equiv_pos_as_xyz
'x,y,z'
'-x,-y,-z'
'-x,y,-z'
'x,-y,z'
'x+1/2,y+1/2,z'
'-x+1/2,-y+1/2,-z'
'-x+1/2,y+1/2,-z'
'x+1/2,-y+1/2,z'
loop_
_atom_site_label
_atom_site_fract_x
_atom_site_fract_y
_atom_site_fract_z
_atom_site_occupancy
Na1 0.2101 0.0000 0.1108 1
Li1 0.0000 0.0000 0.5000 1
Cu1 0.0765 0.5000 0.3039 1
F1 0.0773 0.2585 0.7993 1
F2 0.2102 0.0000 0.5089 1
```

The 10 most intense peaks (10° ≤ 2θ ≤ 80°), sorted by position:
hkl, d_spacing, Position (°2θ), I_rel
1 1 0, 4.815, 18.43, 83.3
0 2 0, 2.886, 30.98, 28.0
2 0 -2, 2.800, 31.96, 100.0
1 1 -2, 2.525, 35.56, 71.3
2 2 -1, 2.413, 37.27, 29.8
3 1 1, 2.021, 44.85, 18.2
2 2 1, 2.001, 45.32, 40.5
4 2 -1, 1.856, 49.08, 20.8
4 2 -3, 1.508, 61.49, 16.4
1 1 3, 1.498, 61.95, 16.2


The following is a theoretical powder X-ray diffraction pattern of Nd2S2O. It was derived from a structure optimized by DFT (PBE), using CuKα.
Lines closer than 0.1° are merged.

```
data_Nd2S2O
_symmetry_space_group_name_H-M 'C m c 21'
_symmetry_Int_Tables_number 36
_cell_length_a 3.9945
_cell_length_b 15.2394
_cell_length_c 7.2292
_cell_angle_alpha 90.00
_cell_angle_beta 90.00
_cell_angle_gamma 90.00
loop_
_symmetry_equiv_pos_as_xyz
'x,y,z'
'-x,-y,z+1/2'
'-x,y,z'
'x,-y,z+1/2'
'x+1/2,y+1/2,z'
'-x+1/2,-y+1/2,z+1/2'
'-x+1/2,y+1/2,z'
'x+1/2,-y+1/2,z+1/2'
loop_
_atom_site_label
_atom_site_fract_x
_atom_site_fract_y
_atom_site_fract_z
_atom_site_occupancy
Nd1 0.0000 0.0526 0.0000 1
Nd2 0.0000 0.3351 0.8996 1
S1 0.0000 0.2989 0.5173 1
S2 0.0000 0.4549 0.1956 1
O1 0.0000 0.0937 0.3338 1
```

The 10 most intense peaks (10° ≤ 2θ ≤ 80°), sorted by position:
hkl, d_spacing, Position (°2θ), I_rel
0 2 1, 5.244, 16.91, 35.7
0 0 2, 3.615, 24.63, 67.2
1 1 1, 3.408, 26.15, 74.7
0 4 1, 3.370, 26.44, 100.0
1 3 0, 3.140, 28.42, 94.4
1 3 1, 2.880, 31.05, 66.8
1 1 2, 2.640, 33.96, 37.9
1 3 2, 2.370, 37.96, 83.2
0 2 3, 2.298, 39.21, 61.2
1 7 1, 1.848, 49.31, 35.8


The following is a theoretical powder X-ray diffraction pattern of TiVPCl2. It was derived from a structure optimized by DFT (PBE), using CuKα.
Lines closer than 0.1° are merged.

```
data_TiVPCl2
_symmetry_space_group_name_H-M 'P 4/m m m'
_symmetry_Int_Tables_number 123
_symmetry_space_group_name_Hall '-P 4 2'
_cell_length_a 4.6296
_cell_length_b 4.6296
_cell_length_c 5.0404
_cell_angle_alpha 90.00
_cell_angle_beta 90.00
_cell_angle_gamma 90.00
loop_
_atom_site_label
_atom_site_fract_x
_atom_site_fract_y
_atom_site_fract_z
_atom_site_occupancy
Ti1 0.0000 0.0000 0.0000 1
V1 0.5000 0.5000 0.5000 1
P1 0.0000 0.0000 0.5000 1
Cl1 0.0000 0.5000 0.0000 1
```

The 10 most intense peaks (10° ≤ 2θ ≤ 80°), sorted by position:
hkl, d_spacing, Position (°2θ), I_rel
1 0 1, 3.410, 26.14, 68.8
1 1 0, 3.274, 27.24, 21.9
1 1 1, 2.745, 32.62, 94.3
0 0 2, 2.520, 35.62, 65.5
2 0 0, 2.315, 38.91, 100.0
2 1 1, 1.915, 47.47, 24.5
2 0 2, 1.705, 53.77, 70.3
2 2 0, 1.637, 56.20, 30.4
3 1 1, 1.406, 66.51, 19.1
2 2 2, 1.373, 68.33, 32.2